Diffraction record for AcTh2Rh4. The X-ray diffraction stick pattern is computed, not measured: it uses a structure optimized by DFT (GGA-PBE) and a wavelength of 1.5418 Å.
Kinematic intensities with the Lorentz-polarization factor, no thermal factor.

Structure:
```
data_AcTh2Rh4
_chemical_formula_sum 'Ac4 Th8 Rh16'
_space_group_name_H-M_alt 'I -4 2 d'
_space_group_IT_number 122
_space_group_name_Hall 'I -4 2bw'
_cell_length_a 8.5199
_cell_length_b 8.5199
_cell_length_c 8.8691
_cell_angle_alpha 90.00
_cell_angle_beta 90.00
_cell_angle_gamma 90.00
loop_
_atom_site_label
_atom_site_type_symbol
_atom_site_fract_x
_atom_site_fract_y
_atom_site_fract_z
Ac1 Ac 0.0000 0.0000 0.0000
Th1 Th 0.1334 0.2500 0.6250
Rh1 Rh 0.0938 0.1505 0.3085
```

Most intense lines, 2θ from 5° to 70°, low angle first:
- (2 1 1), 2θ = 25.44°, I 81
- (1 0 3), 2θ = 32.05°, I 100
- (3 0 1), 2θ = 33.12°, I 89
- (3 1 0), 2θ = 33.25°, I 64
- (3 1 2), 2θ = 39.12°, I 72
- (3 2 1), 2θ = 39.46°, I 80